(1)
# CuAg5
Theoretical powder diffractogram, Cu Kα. Input: a crystal structure in OQMD, relaxed with PBE.

Peak list (12 most intense, 10° ≤ 2θ ≤ 90°, low angle first)
| 2θ/deg | I (rel.) |
| --- | --- |
| 38.2 | 100.0 |
| 38.3 | 97.4 |
| 44.3 | 63.4 |
| 44.7 | 31.3 |
| 64.2 | 10.0 |
| 64.6 | 9.2 |
| 64.8 | 38.3 |
| 77.3 | 22.7 |
| 77.6 | 21.4 |
| 78.1 | 22.3 |
| 81.6 | 10.1 |
| 82.0 | 9.3 |

```
data_CuAg5
_cell_length_a 2.9006
_cell_length_b 4.0524
_cell_length_c 8.6544
_cell_angle_alpha 90.00
_cell_angle_beta 90.00
_cell_angle_gamma 90.00
_space_group_name_H-M_alt 'P m m m'
_space_group_IT_number 47
loop_
_space_group_symop_operation_xyz
'x,y,z'
'-x,-y,-z'
'-x,-y,z'
'x,y,-z'
'x,-y,-z'
'-x,y,z'
'-x,y,-z'
'x,-y,z'
loop_
_atom_site_label
_atom_site_type_symbol
_atom_site_fract_x
_atom_site_fract_y
_atom_site_fract_z
Cu1 Cu 0.0000 0.0000 0.0000
Ag1 Ag 0.0000 0.0000 0.3265
Ag2 Ag 0.5000 0.5000 0.1577
Ag3 Ag 0.5000 0.5000 0.5000
```

(2)
# Cu3Ag2
Theoretical powder diffractogram, Cu Kα. Input: a crystal structure in OQMD, relaxed with PBE.

Peak list (12 most intense, 10° ≤ 2θ ≤ 90°, low angle first)
| 2θ/deg | I (rel.) |
| --- | --- |
| 23.7 | 4.7 |
| 32.5 | 4.0 |
| 37.9 | 5.0 |
| 40.6 | 100.0 |
| 46.6 | 35.5 |
| 48.5 | 11.7 |
| 68.0 | 10.6 |
| 69.6 | 14.8 |
| 79.6 | 4.4 |
| 82.4 | 22.8 |
| 85.2 | 5.7 |
| 87.9 | 7.9 |

```
data_Cu3Ag2
_cell_length_a 2.7557
_cell_length_b 2.7557
_cell_length_c 18.7529
_cell_angle_alpha 90.00
_cell_angle_beta 90.00
_cell_angle_gamma 90.00
_space_group_name_H-M_alt 'P 4/m m m'
_space_group_IT_number 123
_space_group_name_Hall '-P 4 2'
loop_
_atom_site_label
_atom_site_type_symbol
_atom_site_fract_x
_atom_site_fract_y
_atom_site_fract_z
Cu1 Cu 0.0000 0.0000 0.0000
Cu2 Cu 0.0000 0.0000 0.2066
Cu3 Cu 0.0000 0.0000 0.4147
Cu4 Cu 0.5000 0.5000 0.5000
Ag1 Ag 0.5000 0.5000 0.1033
Ag2 Ag 0.5000 0.5000 0.3103
```